# TmCrB4
Simulated powder diffractogram, a wavelength of 1.5418 Å. Input: a cell relaxed with PBE.

Structural model:
```
24
Lattice="5.8873 0.0000 0.0000 0.0000 11.3720 0.0000 0.0000 0.0000 3.4075" Properties=species:S:1:pos:R:3 pbc="T T T"
Tm 0.7397 1.7141 0.0000
Tm 2.2040 7.4001 0.0000
Tm 3.6833 3.9719 0.0000
Tm 5.1476 9.6579 0.0000
Cr 0.7254 4.7777 0.0000
Cr 2.2182 10.4637 0.0000
Cr 3.6691 0.9083 0.0000
Cr 5.1619 6.5943 0.0000
B 0.1420 7.8731 1.7037
B 0.6697 6.2207 1.7037
B 0.7992 11.0018 1.7037
B 1.2793 9.2735 1.7037
B 1.6643 3.5875 1.7037
B 2.1445 5.3158 1.7037
B 2.2739 0.5347 1.7037
B 2.8016 2.1871 1.7037
B 3.0857 9.1850 1.7037
B 3.6134 10.8373 1.7037
B 3.7428 6.0562 1.7037
B 4.2230 7.7845 1.7037
B 4.6080 2.0985 1.7037
B 5.0881 0.3702 1.7037
B 5.2176 5.1513 1.7037
B 5.7453 3.4990 1.7037
```

Peak list (6 most intense, 2θ from 15° to 90°, by angle)
2theta  d_spacing  I_rel
21.73  4.090  34
26.15  3.407  68
28.00  3.187  39
31.38  2.850  65
38.69  2.327  54
41.32  2.185  100



# VCrB2
Simulated powder diffractogram, a wavelength of 1.5418 Å. Input: a cell relaxed with PBE.

Structural model:
```
4
Lattice="2.9356 0.0000 0.0000 0.0000 1.4964 3.9720 0.0000 -1.4964 3.9720" Properties=species:S:1:pos:R:3 pbc="T T T"
V 0.0000 0.0000 0.0000
Cr 1.4678 0.0000 5.6121
B 0.0000 0.0000 2.2967
B 1.4678 0.0000 3.2975
```

Peak list (6 most intense, 2θ from 15° to 90°, by angle)
2theta  d_spacing  I_rel
31.95  2.801  39
38.12  2.361  83
44.72  2.026  100
45.73  1.984  85
55.93  1.644  30
81.59  1.180  26



# V9Cr3B8
Simulated powder diffractogram, a wavelength of 1.5418 Å. Input: a cell relaxed with PBE.

Structural model:
```
20
Lattice="5.6670 0.0000 0.0000 0.0000 3.0135 0.0000 -0.0026 0.0000 11.3394" Properties=species:S:1:pos:R:3 pbc="T T T"
V 0.0000 0.0000 0.0000
V 1.0110 1.5068 7.4816
V 1.0206 1.5068 1.8414
V 1.8204 1.5068 4.6634
V 1.8257 1.5068 10.3160
V 3.8388 1.5068 1.0234
V 3.8441 1.5068 6.6760
V 4.6438 1.5068 9.4980
V 4.6534 1.5068 3.8578
Cr -0.0013 0.0000 5.6697
Cr 2.8335 0.0000 2.8434
Cr 2.8310 0.0000 8.4960
B 0.6367 0.0000 3.4849
B 0.6408 0.0000 9.1241
B 2.1940 0.0000 6.3071
B 2.2028 0.0000 0.6416
B 3.4617 0.0000 10.6977
B 3.4705 0.0000 5.0323
B 5.0236 0.0000 2.2152
B 5.0278 0.0000 7.8544
```

Peak list (6 most intense, 2θ from 15° to 90°, by angle)
2theta  d_spacing  I_rel
35.41  2.535  50
37.33  2.409  47
43.85  2.065  100
45.25  2.004  28
46.83  1.940  75
50.95  1.792  45



# VCrB4
Simulated powder diffractogram, a wavelength of 1.5418 Å. Input: a cell relaxed with PBE.

Structural model:
```
6
Lattice="2.9967 0.0000 0.0000 -1.4984 2.5952 0.0000 0.0000 0.0000 5.9349" Properties=species:S:1:pos:R:3 pbc="T T T"
V 0.0000 0.0000 0.0000
Cr 0.0000 0.0000 2.9675
B 0.0000 1.7301 1.5025
B 0.0000 1.7301 4.4324
B 1.4984 0.8651 1.5025
B 1.4984 0.8651 4.4324
```

Peak list (6 most intense, 2θ from 15° to 90°, by angle)
2theta  d_spacing  I_rel
30.12  2.967  21
34.56  2.595  68
46.49  1.954  100
61.93  1.498  24
73.53  1.288  13
80.85  1.189  17